[1]
Structure and simulated PXRD pattern of Ti3Ga4Pd (a PBE-relaxed structure; Cu Ka).

Structural model:
abc: 4.838 9.433 5.689
angles: 90.00 90.00 90.00
Atoms (fractional coordinates):
1 Ti 0.250 0.008 0.114
2 Ti 0.250 0.492 0.114
3 Ti 0.250 0.750 0.887
4 Ti 0.750 0.250 0.113
5 Ti 0.750 0.508 0.886
6 Ti 0.750 0.992 0.886
7 Ga 0.250 0.250 0.373
8 Ga 0.250 0.505 0.624
9 Ga 0.250 0.750 0.370
10 Ga 0.250 0.995 0.624
11 Ga 0.750 0.005 0.376
12 Ga 0.750 0.250 0.630
13 Ga 0.750 0.495 0.376
14 Ga 0.750 0.750 0.627
15 Pd 0.250 0.250 0.870
16 Pd 0.750 0.750 0.130

The 10 most intense peaks (10 to 80 degrees two-theta), sorted by position:
| Position (°2θ) | I (rel.) |
| --- | --- |
| 20.63 | 3.8 |
| 37.17 | 34.7 |
| 38.16 | 31.8 |
| 41.51 | 100.0 |
| 54.33 | 21.8 |
| 65.64 | 6.1 |
| 69.97 | 19.7 |
| 71.25 | 18.2 |
| 77.92 | 7.2 |
| 78.54 | 7.2 |

***

[2]
Structure and simulated PXRD pattern of Ti4Ga5Pd3 (a PBE-relaxed structure; Cu Ka).

Structural model:
abc: 6.799 6.799 7.296
angles: 114.02 114.02 40.55
Atoms (fractional coordinates):
1 Ti 0.076 0.076 0.420
2 Ti 0.173 0.173 0.856
3 Ti 0.827 0.827 0.144
4 Ti 0.924 0.924 0.580
5 Ga 0.000 0.000 0.000
6 Ga 0.316 0.316 0.654
7 Ga 0.440 0.440 0.304
8 Ga 0.560 0.560 0.696
9 Ga 0.684 0.684 0.346
10 Pd 0.232 0.232 0.246
11 Pd 0.500 0.500 0.000
12 Pd 0.768 0.768 0.754

The 10 most intense peaks (10 to 80 degrees two-theta), sorted by position:
| Position (°2θ) | I (rel.) |
| --- | --- |
| 24.68 | 21.6 |
| 31.16 | 31.6 |
| 36.93 | 48.7 |
| 38.19 | 100.0 |
| 39.30 | 23.1 |
| 39.44 | 24.6 |
| 40.34 | 75.0 |
| 42.20 | 27.6 |
| 43.06 | 68.6 |
| 54.18 | 28.3 |

***

[3]
Structure and simulated PXRD pattern of Ti3GaPd2 (a PBE-relaxed structure; Cu Ka).

Structural model:
abc: 4.752 14.177 2.844
angles: 90.00 90.00 90.00
Atoms (fractional coordinates):
1 Ti 0.250 0.081 0.001
2 Ti 0.250 0.419 0.001
3 Ti 0.250 0.750 0.998
4 Ti 0.750 0.250 0.002
5 Ti 0.750 0.581 0.999
6 Ti 0.750 0.919 0.999
7 Ga 0.250 0.250 0.502
8 Ga 0.750 0.750 0.498
9 Pd 0.250 0.588 0.498
10 Pd 0.250 0.912 0.498
11 Pd 0.750 0.088 0.502
12 Pd 0.750 0.412 0.502

The 10 most intense peaks (10 to 80 degrees two-theta), sorted by position:
| Position (°2θ) | I (rel.) |
| --- | --- |
| 26.60 | 19.2 |
| 31.46 | 6.4 |
| 37.86 | 33.2 |
| 38.08 | 32.0 |
| 41.65 | 100.0 |
| 54.79 | 21.2 |
| 70.96 | 19.1 |
| 71.25 | 18.1 |
| 78.37 | 7.2 |
| 78.51 | 7.2 |

***

> Number 3 is which compound?

Ti3GaPd2